This entry pairs a crystal structure of Sr3Tl2F8 with its theoretical powder X-ray diffraction pattern. Radiation: Cu Kα (weighted mean of Kα1 and Kα2). Structure: a cell relaxed with GGA-PBE.
No peak broadening, texture or thermal motion is included.

Largest 6 diffraction maxima, sorted by position, 2θ = 15–90°:
4.058 Å, I 100
3.459 Å, I 58
3.434 Å, I 56
3.155 Å, I 44
2.956 Å, I 45
1.925 Å, I 40

Atomic structure:
abc: 3.987 8.221 9.196
angles: 73.02 89.82 89.79
Space group P-1 (No. 2)
Unique sites:
Sr  0.000  0.000  0.000 x1
Sr  0.499  0.747  0.365 x2
Tl  0.003  0.357  0.234 x2
F  0.000  0.271  0.804 x2
F  0.002  0.193  0.509 x2
F  0.499  0.023  0.154 x2
F  0.499  0.550  0.637 x2